Starting from DFT lattice parameters and positions (PBE+U), the X-ray diffraction stick pattern of Li2VCrP4O14 was calculated for Cu Kα (weighted mean of Kα1 and Kα2).

Most intense lines, 10 to 90 degrees two-theta, in order of falling intensity:
(hkl), 2theta, I (rel.)
1 1 0, 17.1, 1000
1 2 -2, 29.3, 563
1 1 -2, 22.4, 493
1 1 2, 28.8, 303
2 1 -2, 29.7, 274
1 0 2, 26.7, 235
0 1 2, 22.0, 215
1 2 0, 25.4, 188
2 2 0, 34.6, 166
2 3 -2, 43.2, 131

Structure:
Cell: 7.0209 8.2471 9.7667 Å, 90.00 108.38 90.00°
Element x y z (fractional)
Li  0.1688  0.9995  0.0872
Li  0.1740  0.0000  0.5902
Li  0.8260  0.5000  0.4098
Li  0.8312  0.4995  0.9128
V  0.2298  0.6398  0.1083
V  0.7702  0.1398  0.8917
Cr  0.2265  0.6395  0.6051
Cr  0.7735  0.1395  0.3949
P  0.0235  0.3188  0.2008
P  0.0250  0.3203  0.6983
P  0.4134  0.4271  0.8893
P  0.4152  0.4219  0.3927
P  0.5848  0.9219  0.6073
P  0.5866  0.9271  0.1107
P  0.9750  0.8203  0.3017
P  0.9765  0.8188  0.7992
O  0.0083  0.4835  0.1254
O  0.0102  0.4852  0.6221
O  0.0160  0.6780  0.4077
O  0.0169  0.6783  0.9074
O  0.1036  0.8184  0.2006
O  0.1045  0.8165  0.6980
O  0.2548  0.2905  0.2970
O  0.2551  0.2930  0.7950
O  0.3499  0.4658  0.0212
O  0.3542  0.4642  0.5244
O  0.3835  0.8319  0.5665
O  0.3845  0.8405  0.0700
O  0.4126  0.5765  0.7960
O  0.4211  0.5704  0.2992
O  0.5789  0.0704  0.7008
O  0.5874  0.0765  0.2040
O  0.6165  0.3319  0.4335
O  0.6155  0.3405  0.9300
O  0.6458  0.9642  0.4756
O  0.6501  0.9658  0.9788
O  0.7452  0.7905  0.7030
O  0.7449  0.7930  0.2050
O  0.8955  0.3165  0.3020
O  0.8964  0.3184  0.7994
O  0.9831  0.1783  0.0926
O  0.9840  0.1780  0.5923
O  0.9898  0.9852  0.3779
O  0.9917  0.9835  0.8746

---

Starting from DFT lattice parameters and positions (PBE+U), the X-ray diffraction stick pattern of Tl4V5CdClO15 was calculated for Cu Kα (weighted mean of Kα1 and Kα2).

Most intense lines, 10 to 90 degrees two-theta, in order of falling intensity:
(hkl), 2theta, I (rel.)
1 2 1, 26.5, 1000
2 0 1, 24.6, 384
3 1 0, 30.5, 271
1 4 1, 43.2, 192
1 2 2, 37.9, 182
0 0 2, 30.9, 172
3 1 2, 44.0, 149
1 2 0, 21.5, 146
1 4 0, 40.2, 141
1 2 3, 52.2, 135

Structure:
Cell: 9.2590 9.2590 5.7969 Å, 90.00 90.00 90.00°
Element x y z (fractional)
Tl  0.1607  0.6922  0.0000
Tl  0.3078  0.1607  0.0000
Tl  0.6922  0.8393  0.0000
Tl  0.8393  0.3078  0.0000
V  0.1426  0.3766  0.5304
V  0.3766  0.8574  0.5304
V  0.5000  0.5000  0.5484
V  0.6234  0.1426  0.5304
V  0.8574  0.6234  0.5304
Cd  0.0000  0.0000  0.5724
Cl  0.0000  0.0000  0.1281
O  0.0000  0.5000  0.6231
O  0.1120  0.2115  0.6576
O  0.1434  0.3616  0.2435
O  0.2115  0.8880  0.6576
O  0.3102  0.4435  0.6347
O  0.3616  0.8566  0.2435
O  0.4435  0.6898  0.6347
O  0.5000  0.0000  0.6231
O  0.5000  0.5000  0.2696
O  0.5565  0.3102  0.6347
O  0.6384  0.1434  0.2435
O  0.6898  0.5565  0.6347
O  0.7885  0.1120  0.6576
O  0.8566  0.6384  0.2435
O  0.8880  0.7885  0.6576